# 1
Starting from a DFT-relaxed cell (PBE, the Materials Project), the powder XRD pattern of RbNaMg6O7 was simulated for Cu Kα.

a = 4.676 Å, b = 4.676 Å, c = 8.168 Å
α = 90.00°, β = 90.00°, γ = 90.00°
Space group P4mm (No. 99)
Unique sites:
Rb (0.000, 0.000, 0.000) x1
Na (0.000, 0.000, 0.566) x1
Mg (0.000, 0.500, 0.320) x2
Mg (0.000, 0.500, 0.824) x2
Mg (0.500, 0.500, 0.083) x1
Mg (0.500, 0.500, 0.574) x1
O (0.000, 0.000, 0.310) x1
O (0.000, 0.500, 0.068) x2
O (0.000, 0.500, 0.590) x2
O (0.500, 0.500, 0.328) x1
O (0.500, 0.500, 0.829) x1

The 6 most intense peaks (15 to 90 degrees two-theta), low angle first:
2θ (°), I (rel.)
21.90, 21
29.03, 20
34.91, 34
38.51, 100
55.59, 30
60.17, 23

---

# 2
Starting from a DFT-relaxed cell (PBE, the Materials Project), the powder XRD pattern of MgHg3 was simulated for Cu Kα.

a = 3.250 Å, b = 11.041 Å, c = 5.458 Å
α = 90.00°, β = 90.00°, γ = 90.00°
Space group Imm2 (No. 44)
Unique sites:
Mg (0.000, 0.000, 0.000) x2
Hg (0.000, 0.278, 0.356) x4
Hg (0.000, 0.500, 0.966) x2

The 6 most intense peaks (15 to 90 degrees two-theta), low angle first:
2θ (°), I (rel.)
28.64, 17
29.27, 33
32.43, 29
32.82, 23
36.05, 100
36.74, 25

---

# 3
Starting from a DFT-relaxed cell (PBE, the Materials Project), the powder XRD pattern of Pm3Al was simulated for Cu Kα.

a = 7.0403 Å, b = 7.0403 Å, c = 5.4223 Å
α = 90.00°, β = 90.00°, γ = 120.00°
Space group P6_3/mmc (No. 194)
Unique sites:
Pm (0.1776, 0.3553, 0.2500) x6
Al (0.3333, 0.6667, 0.7500) x2

The 6 most intense peaks (15 to 90 degrees two-theta), low angle first:
2θ (°), I (rel.)
21.94, 29
29.30, 24
33.04, 24
33.73, 100
59.45, 20
62.96, 20

---

# 4
Starting from a DFT-relaxed cell (PBE, the Materials Project), the powder XRD pattern of Pu2Ni17 was simulated for Cu Kα.

a = 8.2583 Å, b = 8.2583 Å, c = 7.9835 Å
α = 90.00°, β = 90.00°, γ = 120.00°
Space group P6_3/mmc (No. 194)
Unique sites:
Pu (0.0000, 0.0000, 0.2500) x2
Pu (0.3333, 0.6667, 0.2500) x2
Ni (0.0000, 0.5000, 0.0000) x6
Ni (0.0405, 0.3682, 0.7500) x12
Ni (0.1652, 0.3305, 0.0221) x12
Ni (0.3333, 0.6667, 0.5999) x4

The 6 most intense peaks (15 to 90 degrees two-theta), low angle first:
2θ (°), I (rel.)
31.16, 55
37.73, 47
42.34, 36
43.85, 60
44.25, 100
45.44, 28

---

# 5
Starting from a DFT-relaxed cell (PBE, the Materials Project), the powder XRD pattern of PrNi2Sn2 was simulated for Cu Kα.

a = 4.436 Å, b = 4.436 Å, c = 10.544 Å
α = 90.00°, β = 90.00°, γ = 90.00°
Space group I4/mmm (No. 139)
Unique sites:
Pr (0.000, 0.000, 0.000) x2
Ni (0.000, 0.500, 0.250) x4
Sn (0.000, 0.000, 0.364) x4

The 6 most intense peaks (15 to 90 degrees two-theta), low angle first:
2θ (°), I (rel.)
28.45, 38
32.50, 100
33.23, 45
40.67, 61
53.00, 51
58.88, 20

---

# 6
Starting from a DFT-relaxed cell (PBE, the Materials Project), the powder XRD pattern of ThMg2 was simulated for Cu Kα.

a = 6.0750 Å, b = 6.0750 Å, c = 19.5942 Å
α = 90.00°, β = 90.00°, γ = 120.00°
Space group P6_3/mmc (No. 194)
Unique sites:
Th (0.0000, 0.0000, 0.0919) x4
Th (0.3333, 0.6667, 0.1565) x4
Mg (0.0000, 0.5000, 0.0000) x6
Mg (0.1614, 0.3228, 0.7500) x6
Mg (0.3333, 0.6667, 0.6262) x4

The 6 most intense peaks (15 to 90 degrees two-theta), low angle first:
2θ (°), I (rel.)
17.45, 61
28.40, 37
29.41, 100
32.26, 90
34.75, 84
53.99, 42